No. 1
Theoretical XRD peak list of RbUS3 for CuKα, from a DFT-relaxed cell (PBE, Alexandria).

Largest 6 diffraction maxima, by angle, 2θ = 15–90°:
4.128 Å, 21.53°, I = 100.0
3.333 Å, 26.75°, I = 34.3
3.230 Å, 27.62°, I = 31.8
2.647 Å, 33.86°, I = 23.6
2.139 Å, 42.24°, I = 25.1
2.046 Å, 44.27°, I = 24.6

Structural model:
```
RbUS3
1.0
6.6434 -2.6470 0.0000
6.6434 2.6470 0.0000
-2.1204 0.0000 8.8300
Rb U S
2 2 6
Cartesian
0.7167 0.0000 3.5082
10.4497 0.0000 5.3218
4.7384 0.0000 0.7135
6.4281 0.0000 8.1165
0.1710 0.0000 8.3764
4.0404 0.0000 3.0647
3.9281 0.0000 7.2967
7.2383 0.0000 1.5333
7.1261 0.0000 5.7653
10.9954 0.0000 0.4536
```

---

No. 2
Theoretical XRD peak list of RbLi2CdC2O6F for CuKα, from a DFT-relaxed cell (PBE, Alexandria).

Largest 6 diffraction maxima, by angle, 2θ = 15–90°:
4.322 Å, 20.55°, I = 74.7
2.907 Å, 30.76°, I = 100.0
2.496 Å, 35.99°, I = 33.3
2.106 Å, 42.94°, I = 42.1
1.893 Å, 48.05°, I = 23.3
1.508 Å, 61.47°, I = 22.6

Structural model:
```
RbLi2CdC2O6F
1.0
4.9912 0.0000 0.0000
-2.4956 4.3225 0.0000
0.0000 0.0000 15.7086
Rb Li Cd C O F
2 4 2 4 12 2
Cartesian
0.0000 0.0000 3.9271
0.0000 0.0000 11.7814
0.0000 2.8817 2.0473
0.0000 2.8817 5.8070
2.4956 1.4408 9.9016
2.4956 1.4408 13.6613
0.0000 0.0000 0.0000
0.0000 0.0000 7.8543
0.0000 2.8817 9.2598
0.0000 2.8817 14.3030
2.4956 1.4408 1.4055
2.4956 1.4408 6.4488
-1.3002 2.8871 9.2711
-1.3002 2.8871 14.2918
0.6454 1.7529 9.2711
0.6454 1.7529 14.2918
1.8407 0.3175 1.4168
1.8407 0.3175 6.4375
0.6549 4.0050 9.2711
0.6549 4.0050 14.2918
1.8502 2.5696 1.4168
1.8502 2.5696 6.4375
3.7958 1.4354 1.4168
3.7958 1.4354 6.4375
0.0000 2.8817 3.9271
2.4956 1.4408 11.7814
```

---

No. 3
Theoretical XRD peak list of VBiBr2 for CuKα, from a DFT-relaxed cell (PBE, Alexandria).

Largest 6 diffraction maxima, by angle, 2θ = 15–90°:
3.974 Å, 22.37°, I = 46.4
3.120 Å, 28.61°, I = 71.2
3.085 Å, 28.94°, I = 63.1
2.670 Å, 33.56°, I = 43.6
2.565 Å, 34.98°, I = 100.0
1.820 Å, 50.14°, I = 35.3

Structural model:
```
VBiBr2
1.0
1.8084 1.0441 11.9220
-1.8084 1.0441 11.9220
0.0000 -2.0882 11.9220
V Bi Br
1 1 2
Cartesian
0.0000 0.0000 0.0000
0.0000 0.0000 17.8829
0.0000 0.0000 13.4765
0.0000 0.0000 22.2894
```

---

No. 4
Theoretical XRD peak list of TmSb2Pd7 for CuKα, from a DFT-relaxed cell (PBE, Alexandria).

Largest 6 diffraction maxima, by angle, 2θ = 15–90°:
3.591 Å, 24.79°, I = 23.7
2.283 Å, 39.47°, I = 100.0
2.055 Å, 44.06°, I = 38.3
1.453 Å, 64.07°, I = 12.3
1.373 Å, 68.32°, I = 16.6
1.226 Å, 77.92°, I = 26.5

Structural model:
```
TmSb2Pd7
1.0
-2.0553 2.0553 11.0702
2.0553 -2.0553 11.0702
2.0553 2.0553 -11.0702
Tm Sb Pd
1 2 7
Cartesian
0.0000 0.0000 0.0000
0.0000 0.0000 7.3066
0.0000 0.0000 14.8338
2.0553 0.0000 2.0529
2.0553 0.0000 5.5351
2.0553 0.0000 9.0174
0.0000 0.0000 11.0702
0.0000 2.0553 2.0529
0.0000 2.0553 5.5351
0.0000 2.0553 9.0174
```

---

No. 5
Theoretical XRD peak list of LaHo7Er2 for CuKα, from a DFT-relaxed cell (PBE, Alexandria).

Largest 6 diffraction maxima, by angle, 2θ = 15–90°:
2.893 Å, 30.91°, I = 100.0
2.506 Å, 35.84°, I = 50.6
1.772 Å, 51.58°, I = 36.0
1.511 Å, 61.35°, I = 35.7
1.447 Å, 64.40°, I = 12.3
1.150 Å, 84.19°, I = 13.4

Structural model:
```
LaHo7Er2
1.0
6.1386 0.0000 0.0000
2.0381 6.7802 0.0000
2.0476 1.2390 7.5600
La Ho Er
1 7 2
Cartesian
0.0000 0.0000 0.0000
1.0190 3.3901 0.0000
4.0876 6.1592 4.5254
3.0728 0.9304 1.5271
4.0993 4.3032 1.5268
6.1249 3.7159 6.0332
7.1515 7.0887 6.0329
6.1366 1.8599 3.0346
3.0664 2.7869 4.5238
7.1579 5.2322 3.0361
```

---

No. 6
Theoretical XRD peak list of Nd2HgBr2 for CuKα, from a DFT-relaxed cell (PBE, Alexandria).

Largest 6 diffraction maxima, by angle, 2θ = 15–90°:
3.202 Å, 27.86°, I = 100.0
2.765 Å, 32.38°, I = 28.9
2.488 Å, 36.10°, I = 34.1
2.130 Å, 42.44°, I = 25.3
2.091 Å, 43.26°, I = 34.7
1.407 Å, 66.44°, I = 17.9

Structural model:
```
Nd2HgBr2
1.0
2.0914 1.2074 11.4121
-2.0914 1.2074 11.4121
0.0000 -2.4149 11.4121
Nd Hg Br
2 1 2
Cartesian
0.0000 0.0000 3.6831
0.0000 0.0000 30.5532
0.0000 0.0000 17.1182
0.0000 0.0000 9.5689
0.0000 0.0000 24.6674
```